Starting from DFT lattice parameters and positions (GGA-PBE), the PXRD pattern of Ba2Ca3Tl2Cu4O12 was computed for a wavelength of 1.5418 Å.
Peak positions follow from Bragg's law for the DFT cell and can differ from measured ones.

Structural model:
Unit cell a=22.0805 b=22.0805 c=22.0805 alpha=169.83 beta=169.83 gamma=14.41
Positions (direct):
Ba1 0.1547 0.1547 0.0000
Ba2 0.8453 0.8453 0.0000
Ca1 0.0000 0.0000 0.0000
Ca2 0.0741 0.0741 0.0000
Ca3 0.9259 0.9259 0.0000
Tl1 0.2762 0.2762 0.0000
Tl2 0.7238 0.7238 0.0000
Cu1 0.3912 0.3912 0.0000
Cu2 0.4628 0.4628 0.0000
Cu3 0.5372 0.5372 0.0000
Cu4 0.6088 0.6088 0.0000
O1 0.0368 0.5368 0.5000
O2 0.1096 0.6096 0.5000
O3 0.2500 0.7500 0.5000
O4 0.3241 0.3241 0.0000
O5 0.3904 0.8904 0.5000
O6 0.4632 0.9632 0.5000
O7 0.5368 0.0368 0.5000
O8 0.6096 0.1096 0.5000
O9 0.6759 0.6759 0.0000
O10 0.7500 0.2500 0.5000
O11 0.8904 0.3904 0.5000
O12 0.9632 0.4632 0.5000

Most intense lines, 2θ from 15° to 90°, most intense first:
Position (°2θ), d [Å], intensity
29.27, 3.051, 100
26.86, 3.319, 90
32.34, 2.769, 82
46.38, 1.958, 53
32.06, 2.792, 35
55.80, 1.648, 34
54.42, 1.686, 33
46.65, 1.947, 30
38.45, 2.341, 30
77.00, 1.238, 23
32.70, 2.738, 20
24.91, 3.575, 17

Starting from DFT lattice parameters and positions (GGA-PBE), the PXRD pattern of PrAu was computed for a wavelength of 1.5418 Å.
Peak positions follow from Bragg's law for the DFT cell and can differ from measured ones.

Structural model:
Unit cell a=7.5927 b=4.8337 c=5.9219 alpha=90.00 beta=90.00 gamma=90.00
Positions (direct):
Pr1 0.1871 0.2500 0.1442
Pr2 0.3129 0.7500 0.6442
Pr3 0.6871 0.2500 0.3558
Pr4 0.8129 0.7500 0.8558
Au1 0.0424 0.2500 0.6502
Au2 0.4576 0.7500 0.1502
Au3 0.5424 0.2500 0.8498
Au4 0.9576 0.7500 0.3498

Most intense lines, 2θ from 15° to 90°, most intense first:
Position (°2θ), d [Å], intensity
33.62, 2.666, 100
37.54, 2.396, 87
29.93, 2.986, 58
37.20, 2.417, 47
32.46, 2.759, 36
19.01, 4.670, 26
67.29, 1.391, 22
50.49, 1.808, 22
50.18, 1.818, 22
64.36, 1.448, 21
62.68, 1.482, 19
38.69, 2.327, 19